(1)
Simulated XRD peak list of Np2Pa3Se8 for a wavelength of 1.5418 Å, from a DFT-relaxed cell (PBE, Alexandria).
Intensities are scaled so that the largest is 100.

Cell and atoms:
```
data_Np2Pa3Se8
_chemical_formula_sum 'Np4 Pa6 Se16'
_cell_length_a 14.666
_cell_length_b 8.225
_cell_length_c 6.937
_cell_angle_alpha 90.00
_cell_angle_beta 108.92
_cell_angle_gamma 90.00
_symmetry_space_group_name_H-M 'C 1 2/m 1'
_symmetry_Int_Tables_number 12
loop_
_symmetry_equiv_pos_as_xyz
'x,y,z'
'-x,-y,-z'
'-x,y,-z'
'x,-y,z'
'x+1/2,y+1/2,z'
'-x+1/2,-y+1/2,-z'
'-x+1/2,y+1/2,-z'
'x+1/2,-y+1/2,z'
loop_
_atom_site_label
_atom_site_type_symbol
_atom_site_fract_x
_atom_site_fract_y
_atom_site_fract_z
_atom_site_occupancy
Np1 Np 0.248 0.000 0.164 1
Pa1 Pa 0.000 0.240 0.500 1
Pa2 Pa 0.000 0.500 0.000 1
Se1 Se 0.119 0.000 0.414 1
Se2 Se 0.119 0.500 0.419 1
Se3 Se 0.121 0.257 0.918 1
```

The 10 most intense peaks (2θ = 5–70°), low angle first:
h k l  2θ (°)  Rel. int.
2 0 -1  15.3  30.5
1 1 1  19.9  69.5
3 1 -1  22.4  50.3
2 2 0  25.2  41.4
2 2 -1  26.6  43.1
4 2 -1  33.2  100.0
2 0 2  33.8  48.6
4 2 1  39.7  86.2
0 4 0  44.0  32.5
2 2 -3  45.0  81.7

(2)
Simulated XRD peak list of VSiHPd2 for a wavelength of 1.5418 Å, from a DFT-relaxed cell (PBE, Alexandria).
Intensities are scaled so that the largest is 100.

Cell and atoms:
```
data_VSiHPd2
_chemical_formula_sum 'V1 Si1 H1 Pd2'
_cell_length_a 3.795
_cell_length_b 3.795
_cell_length_c 4.166
_cell_angle_alpha 90.00
_cell_angle_beta 90.00
_cell_angle_gamma 90.00
_symmetry_space_group_name_H-M 'P 4/m m m'
_symmetry_Int_Tables_number 123
_symmetry_space_group_name_Hall '-P 4 2'
loop_
_atom_site_label
_atom_site_type_symbol
_atom_site_fract_x
_atom_site_fract_y
_atom_site_fract_z
_atom_site_occupancy
V1 V 0.000 0.000 0.000 1
Si1 Si 0.500 0.500 0.000 1
H1 H 0.000 0.000 0.500 1
Pd1 Pd 0.000 0.500 0.500 1
```

The 10 most intense peaks (2θ = 5–70°), low angle first:
h k l  2θ (°)  Rel. int.
0 0 1  21.3  28.4
1 0 0  23.4  1.3
1 1 0  33.4  17.7
1 1 1  40.0  100.0
0 0 2  43.4  19.9
2 0 0  47.9  29.6
2 0 1  53.0  10.1
1 1 2  55.9  8.4
2 0 2  66.7  21.2
0 0 3  67.4  1.2